Entry 1:
The following is a computed PXRD pattern of Sr2CoSeO2. It was derived from a DFT-relaxed cell (PBE+U, Alexandria), using λ = 1.5418 Å (Cu Kα).

Atomic structure:
abc: 4.0391 4.0391 6.8483
angles: 90.00 90.00 90.00
Element x y z (fractional)
Sr: 0.0000 0.0000 0.2404
Sr: 0.0000 0.0000 0.7596
Co: 0.5000 0.5000 0.0000
Se: 0.5000 0.5000 0.5000
O: 0.0000 0.5000 0.0000
O: 0.5000 0.0000 0.0000

Peak list (10 most intense, 10 to 90 degrees two-theta, by angle)
| (hkl) | 2θ/deg | d/Å | I (rel.) |
| --- | --- | --- | --- |
| 1 1 0 | 31.32 | 2.856 | 51 |
| 1 0 2 | 34.33 | 2.612 | 100 |
| 2 0 0 | 44.88 | 2.020 | 28 |
| 0 0 4 | 53.52 | 1.712 | 8 |
| 2 1 2 | 57.70 | 1.598 | 43 |
| 1 1 4 | 63.34 | 1.468 | 13 |
| 2 2 0 | 65.35 | 1.428 | 9 |
| 2 0 4 | 72.36 | 1.306 | 12 |
| 3 1 0 | 74.25 | 1.277 | 9 |
| 3 0 2 | 75.94 | 1.253 | 10 |

Entry 2:
The following is a computed PXRD pattern of Na2MgMnF6. It was derived from a DFT-relaxed cell (PBE+U, Alexandria), using λ = 1.5418 Å (Cu Kα).

Atomic structure:
abc: 5.5041 5.7000 9.6635
angles: 90.00 124.66 90.00
Element x y z (fractional)
Na: 0.2358 0.0538 0.2507
Na: 0.2358 0.4462 0.7507
Na: 0.7642 0.5538 0.2493
Na: 0.7642 0.9462 0.7493
Mg: 0.0000 0.0000 0.5000
Mg: 0.0000 0.5000 0.0000
Mn: 0.5000 0.0000 0.0000
Mn: 0.5000 0.5000 0.5000
F: 0.1292 0.2080 0.9407
F: 0.1292 0.2920 0.4407
F: 0.2404 0.6932 0.9453
F: 0.2404 0.8068 0.4453
F: 0.3487 0.0430 0.7408
F: 0.3487 0.4570 0.2408
F: 0.6513 0.5430 0.7592
F: 0.6513 0.9570 0.2592
F: 0.7596 0.1932 0.5547
F: 0.7596 0.3068 0.0547
F: 0.8708 0.7080 0.5593
F: 0.8708 0.7920 0.0593

Peak list (10 most intense, 10 to 90 degrees two-theta, by angle)
| (hkl) | 2θ/deg | d/Å | I (rel.) |
| --- | --- | --- | --- |
| 1 1 -1 | 22.43 | 3.964 | 74 |
| 0 2 0 | 31.39 | 2.850 | 25 |
| 1 1 -3 | 31.90 | 2.805 | 100 |
| 1 0 -4 | 37.69 | 2.387 | 31 |
| 2 1 -1 | 38.02 | 2.367 | 26 |
| 0 0 4 | 45.65 | 1.987 | 33 |
| 2 2 -2 | 45.84 | 1.980 | 61 |
| 1 3 -3 | 56.20 | 1.637 | 22 |
| 3 1 -5 | 57.65 | 1.599 | 46 |
| 2 2 -6 | 66.69 | 1.403 | 21 |